For Sr2CoBiO6, a DFT-relaxed cell (GGA+U, the Materials Project) gives the theoretical PXRD pattern in this record (Cu Kα).

Main lines, sorted by position (15 to 90 degrees two-theta):
| d_spacing | 2theta | I_rel | index |
| --- | --- | --- | --- |
| 4.665 | 19.02 | 23 | 1 1 1 |
| 4.040 | 22.00 | 11 | 2 0 0 |
| 2.857 | 31.31 | 100 | 2 2 0 |
| 2.436 | 36.89 | 16 | 3 1 1 |
| 2.020 | 44.87 | 31 | 4 0 0 |
| 1.854 | 49.15 | 8 | 3 3 1 |
| 1.649 | 55.73 | 40 | 4 2 2 |
| 1.428 | 65.32 | 19 | 4 4 0 |
| 1.278 | 74.23 | 18 | 6 2 0 |
| 1.166 | 82.75 | 7 | 4 4 4 |

Crystal structure
```
data_Sr2CoBiO6
_chemical_formula_sum 'Sr8 Co4 Bi4 O24'
_space_group_name_H-M_alt 'F m -3 m'
_space_group_IT_number 225
_space_group_name_Hall '-F 4 2 3'
_cell_length_a 8.0806
_cell_length_b 8.0806
_cell_length_c 8.0806
_cell_angle_alpha 90.00
_cell_angle_beta 90.00
_cell_angle_gamma 90.00
loop_
_atom_site_label
_atom_site_type_symbol
_atom_site_fract_x
_atom_site_fract_y
_atom_site_fract_z
Sr1 Sr 0.2500 0.2500 0.2500
Co1 Co 0.0000 0.0000 0.0000
Bi1 Bi 0.0000 0.0000 0.5000
O1 O 0.0000 0.0000 0.2400
```

***

For EuNbCrBiO6, a DFT-relaxed cell (GGA+U, the Materials Project) gives the theoretical PXRD pattern in this record (Cu Kα).

Main lines, sorted by position (15 to 90 degrees two-theta):
| d_spacing | 2theta | I_rel | index |
| --- | --- | --- | --- |
| 4.009 | 22.17 | 15 | 2 0 0 |
| 2.835 | 31.56 | 100 | 2 2 0 |
| 2.315 | 38.91 | 16 | 2 2 2 |
| 2.005 | 45.23 | 29 | 4 0 0 |
| 1.793 | 50.93 | 8 | 4 2 0 |
| 1.637 | 56.20 | 40 | 4 2 2 |
| 1.417 | 65.89 | 18 | 4 4 0 |
| 1.268 | 74.90 | 17 | 6 2 0 |
| 1.209 | 79.25 | 6 | 6 2 2 |
| 1.157 | 83.53 | 6 | 4 4 4 |

Crystal structure
```
data_EuNbCrBiO6
_chemical_formula_sum 'Eu4 Nb4 Cr4 Bi4 O24'
_space_group_name_H-M_alt 'F -4 3 m'
_space_group_IT_number 216
_space_group_name_Hall 'F -4 2 3'
_cell_length_a 8.0186
_cell_length_b 8.0186
_cell_length_c 8.0186
_cell_angle_alpha 90.00
_cell_angle_beta 90.00
_cell_angle_gamma 90.00
loop_
_atom_site_label
_atom_site_type_symbol
_atom_site_fract_x
_atom_site_fract_y
_atom_site_fract_z
Eu1 Eu 0.0000 0.0000 0.0000
Nb1 Nb 0.2500 0.2500 0.2500
Cr1 Cr 0.2500 0.2500 0.7500
Bi1 Bi 0.0000 0.0000 0.5000
O1 O 0.0015 0.2500 0.7500
```

***

For CrFeBi2O6, a DFT-relaxed cell (GGA+U, the Materials Project) gives the theoretical PXRD pattern in this record (Cu Kα).

Main lines, sorted by position (15 to 90 degrees two-theta):
| d_spacing | 2theta | I_rel | index |
| --- | --- | --- | --- |
| 3.989 | 22.29 | 84 | 1 0 4 |
| 2.835 | 31.56 | 100 | 0 1 8 |
| 2.806 | 31.89 | 100 | 1 1 0 |
| 2.295 | 39.26 | 33 | 0 2 4 |
| 1.994 | 45.48 | 48 | 2 0 8 |
| 1.791 | 50.99 | 35 | 2 -1 12 |
| 1.776 | 51.44 | 20 | 2 1 4 |
| 1.642 | 55.99 | 18 | 1 0 16 |
| 1.626 | 56.62 | 42 | 1 2 8 |
| 1.620 | 56.83 | 24 | 3 0 0 |

Crystal structure
```
data_CrFeBi2O6
_chemical_formula_sum 'Cr6 Fe6 Bi12 O36'
_space_group_name_H-M_alt 'R 3'
_space_group_IT_number 146
_space_group_name_Hall 'R 3'
_cell_length_a 5.6121
_cell_length_b 5.6121
_cell_length_c 27.9192
_cell_angle_alpha 90.00
_cell_angle_beta 90.00
_cell_angle_gamma 120.00
loop_
_atom_site_label
_atom_site_type_symbol
_atom_site_fract_x
_atom_site_fract_y
_atom_site_fract_z
Cr1 Cr 0.0000 0.0000 0.0000
Cr2 Cr 0.0000 0.0000 0.4994
Fe1 Fe 0.0000 0.0000 0.2519
Fe2 Fe 0.0000 0.0000 0.7523
Bi1 Bi 0.0000 0.0000 0.1412
Bi2 Bi 0.0000 0.0000 0.3896
Bi3 Bi 0.0000 0.0000 0.6411
Bi4 Bi 0.0000 0.0000 0.8898
O1 O 0.0166 0.5822 0.8691
O2 O 0.0171 0.5850 0.3688
O3 O 0.0183 0.4356 0.1195
O4 O 0.0177 0.4374 0.6195
```

***

What did the first record say?
For Sr2CoBiO6, a DFT-relaxed cell (GGA+U, the Materials Project) gives the theoretical PXRD pattern in this record (Cu Kα).

Main lines, sorted by position (15 to 90 degrees two-theta):
| d_spacing | 2theta | I_rel | index |
| --- | --- | --- | --- |
| 4.665 | 19.02 | 23 | 1 1 1 |
| 4.040 | 22.00 | 11 | 2 0 0 |
| 2.857 | 31.31 | 100 | 2 2 0 |
| 2.436 | 36.89 | 16 | 3 1 1 |
| 2.020 | 44.87 | 31 | 4 0 0 |
| 1.854 | 49.15 | 8 | 3 3 1 |
| 1.649 | 55.73 | 40 | 4 2 2 |
| 1.428 | 65.32 | 19 | 4 4 0 |
| 1.278 | 74.23 | 18 | 6 2 0 |
| 1.166 | 82.75 | 7 | 4 4 4 |

Crystal structure
```
data_Sr2CoBiO6
_chemical_formula_sum 'Sr8 Co4 Bi4 O24'
_space_group_name_H-M_alt 'F m -3 m'
_space_group_IT_number 225
_space_group_name_Hall '-F 4 2 3'
_cell_length_a 8.0806
_cell_length_b 8.0806
_cell_length_c 8.0806
_cell_angle_alpha 90.00
_cell_angle_beta 90.00
_cell_angle_gamma 90.00
loop_
_atom_site_label
_atom_site_type_symbol
_atom_site_fract_x
_atom_site_fract_y
_atom_site_fract_z
Sr1 Sr 0.2500 0.2500 0.2500
Co1 Co 0.0000 0.0000 0.0000
Bi1 Bi 0.0000 0.0000 0.5000
O1 O 0.0000 0.0000 0.2400
```